Entry 1:
For TbBeF5, a DFT-relaxed cell (PBE, Alexandria) gives the computed X-ray powder pattern in this record (Cu Kα (weighted mean of Kα1 and Kα2)).
Lines closer than 0.1° are merged.

Main lines, in order of falling intensity (15 to 90 degrees two-theta):
2theta  Rel. int.
16.96  100
24.00  67
25.46  33
22.59  32
40.34  21
40.53  18
36.58  16
49.15  15

Structural model:
Cell: 8.138 7.871 8.185 Å, 90.00 118.01 90.00°
Space group C2/c (No. 15)
One atom of each set of equivalent atoms:
Tb1 0.250 0.250 0.000 (multiplicity 4)
Be1 0.000 0.127 0.250 (multiplicity 4)
F1 0.000 0.333 0.750 (multiplicity 4)
F2 0.088 0.238 0.153 (multiplicity 8)
F3 0.155 0.010 0.398 (multiplicity 8)

Entry 2:
For Cs8HAu3, a DFT-relaxed cell (PBE, Alexandria) gives the computed X-ray powder pattern in this record (Cu Kα (weighted mean of Kα1 and Kα2)).
Lines closer than 0.1° are merged.

Main lines, in order of falling intensity (15 to 90 degrees two-theta):
2theta  Rel. int.
24.49  100
34.90  50
56.61  21
22.04  15
43.32  13
42.89  13
34.66  13
35.17  13

Structural model:
Cell: 10.353 14.545 10.207 Å, 90.00 90.00 90.00°
Space group C222 (No. 21)
One atom of each set of equivalent atoms:
Cs1 0.000 0.226 0.000 (multiplicity 4)
Cs2 0.000 0.252 0.500 (multiplicity 4)
Cs3 0.227 0.005 0.233 (multiplicity 8)
H1 0.000 0.000 0.000 (multiplicity 2)
Au1 0.000 0.000 0.500 (multiplicity 2)
Au2 0.250 0.250 0.245 (multiplicity 4)

Entry 3:
For MgTiCu2Pt, a DFT-relaxed cell (PBE, Alexandria) gives the computed X-ray powder pattern in this record (Cu Kα (weighted mean of Kα1 and Kα2)).
Lines closer than 0.1° are merged.

Main lines, in order of falling intensity (15 to 90 degrees two-theta):
2theta  Rel. int.
26.91  100
19.03  81
18.85  72
38.23  71
43.01  60
55.46  47
47.37  43
38.60  34

Structural model:
Cell: 4.708 4.708 4.665 Å, 90.00 90.00 90.00°
Space group P4/mmm (No. 123)
One atom of each set of equivalent atoms:
Mg1 0.000 0.000 0.000 (multiplicity 1)
Ti1 0.500 0.500 0.000 (multiplicity 1)
Cu1 0.000 0.500 0.500 (multiplicity 2)
Pt1 0.000 0.000 0.500 (multiplicity 1)

Entry 4:
For CrFe4Ir15, a DFT-relaxed cell (PBE, Alexandria) gives the computed X-ray powder pattern in this record (Cu Kα (weighted mean of Kα1 and Kα2)).
Lines closer than 0.1° are merged.

Main lines, in order of falling intensity (15 to 90 degrees two-theta):
2theta  Rel. int.
40.89  100
47.58  49
83.97  38
69.57  31
23.27  14
33.15  12
88.64  11
53.62  6

Structural model:
Cell: 3.822 3.822 19.109 Å, 90.00 90.00 90.00°
Space group P4/mmm (No. 123)
One atom of each set of equivalent atoms:
Cr1 0.000 0.000 0.000 (multiplicity 1)
Fe1 0.000 0.000 0.202 (multiplicity 2)
Fe2 0.000 0.000 0.399 (multiplicity 2)
Ir1 0.000 0.500 0.098 (multiplicity 4)
Ir2 0.000 0.500 0.300 (multiplicity 4)
Ir3 0.000 0.500 0.500 (multiplicity 2)
Ir4 0.500 0.500 0.000 (multiplicity 1)
Ir5 0.500 0.500 0.199 (multiplicity 2)
Ir6 0.500 0.500 0.400 (multiplicity 2)

Entry 5:
For PrNd3Dy5, a DFT-relaxed cell (PBE, Alexandria) gives the computed X-ray powder pattern in this record (Cu Kα (weighted mean of Kα1 and Kα2)).
Lines closer than 0.1° are merged.

Main lines, in order of falling intensity (15 to 90 degrees two-theta):
2theta  Rel. int.
30.36  100
35.20  51
50.63  36
60.14  22
60.22  21
82.48  10
85.10  10
82.37  7

Structural model:
Cell: 8.055 8.840 9.545 Å, 71.93 89.99 68.64°
Space group P-1 (No. 2)
One atom of each set of equivalent atoms:
Pr1 0.111 0.222 0.223 (multiplicity 2)
Nd1 0.000 0.000 0.000 (multiplicity 1)
Nd2 0.224 0.445 0.446 (multiplicity 2)
Nd3 0.279 0.555 0.056 (multiplicity 2)
Nd4 0.500 0.000 0.500 (multiplicity 1)
Dy1 0.055 0.110 0.612 (multiplicity 2)
Dy2 0.171 0.331 0.832 (multiplicity 2)
Dy3 0.334 0.668 0.666 (multiplicity 2)
Dy4 0.390 0.778 0.277 (multiplicity 2)
Dy5 0.444 0.890 0.889 (multiplicity 2)

Entry 6:
For Li5Br3O2, a DFT-relaxed cell (PBE, Alexandria) gives the computed X-ray powder pattern in this record (Cu Kα (weighted mean of Kα1 and Kα2)).
Lines closer than 0.1° are merged.

Main lines, in order of falling intensity (15 to 90 degrees two-theta):
2theta  Rel. int.
30.69  100
31.92  58
22.80  38
56.11  33
40.89  26
45.76  23
24.89  20
53.79  16

Structural model:
Cell: 3.966 3.966 21.464 Å, 90.00 90.00 90.00°
Space group I-4m2 (No. 119)
One atom of each set of equivalent atoms:
Li1 0.000 0.000 0.000 (multiplicity 2)
Li2 0.000 0.000 0.186 (multiplicity 4)
Li3 0.000 0.500 0.093 (multiplicity 4)
Br1 0.000 0.000 0.313 (multiplicity 4)
Br2 0.000 0.000 0.500 (multiplicity 2)
O1 0.000 0.000 0.093 (multiplicity 4)

Entry 7:
For ErZn2GaAu2, a DFT-relaxed cell (PBE, Alexandria) gives the computed X-ray powder pattern in this record (Cu Kα (weighted mean of Kα1 and Kα2)).
Lines closer than 0.1° are merged.

Main lines, in order of falling intensity (15 to 90 degrees two-theta):
2theta  Rel. int.
39.07  100
37.12  98
26.69  52
54.99  31
69.51  31
74.69  28
70.79  17
49.59  14

Structural model:
Cell: 4.6109 4.6109 6.0926 Å, 90.00 90.00 120.00°
Space group P-3m1 (No. 164)
One atom of each set of equivalent atoms:
Er1 0.0000 0.0000 0.0000 (multiplicity 1)
Zn1 0.3333 0.6667 0.7255 (multiplicity 2)
Ga1 0.0000 0.0000 0.5000 (multiplicity 1)
Au1 0.3333 0.6667 0.2482 (multiplicity 2)

Entry 8:
For NdGd2, a DFT-relaxed cell (PBE, Alexandria) gives the computed X-ray powder pattern in this record (Cu Kα (weighted mean of Kα1 and Kα2)).
Lines closer than 0.1° are merged.

Main lines, in order of falling intensity (15 to 90 degrees two-theta):
2theta  Rel. int.
31.16  100
55.45  18
44.64  17
61.85  17
55.48  11
73.85  8
79.45  7
40.57  7

Structural model:
Cell: 5.7374 5.7374 3.5203 Å, 90.00 90.00 120.00°
Space group P6/mmm (No. 191)
One atom of each set of equivalent atoms:
Nd1 0.0000 0.0000 0.0000 (multiplicity 1)
Gd1 0.3333 0.6667 0.5000 (multiplicity 2)

Entry 9:
For HoBe9Os2, a DFT-relaxed cell (PBE, Alexandria) gives the computed X-ray powder pattern in this record (Cu Kα (weighted mean of Kα1 and Kα2)).
Lines closer than 0.1° are merged.

Main lines, in order of falling intensity (15 to 90 degrees two-theta):
2theta  Rel. int.
39.25  100
23.93  76
40.57  74
23.10  68
48.20  58
24.92  44
72.93  33
34.23  32

Structural model:
Cell: 4.4468 4.4468 14.2948 Å, 90.00 90.00 120.00°
Space group P6_3/mmc (No. 194)
One atom of each set of equivalent atoms:
Ho1 0.3333 0.6667 0.2500 (multiplicity 2)
Be1 0.0000 0.0000 0.0000 (multiplicity 2)
Be2 0.0000 0.0000 0.2500 (multiplicity 2)
Be3 0.1696 0.3391 0.6175 (multiplicity 12)
Be4 0.3333 0.6667 0.7500 (multiplicity 2)
Os1 0.3333 0.6667 0.0343 (multiplicity 4)

Entry 10:
For Nd2CuPd6, a DFT-relaxed cell (PBE, Alexandria) gives the computed X-ray powder pattern in this record (Cu Kα (weighted mean of Kα1 and Kα2)).
Lines closer than 0.1° are merged.

Main lines, in order of falling intensity (15 to 90 degrees two-theta):
2theta  Rel. int.
39.22  100
35.48  32
34.67  21
64.68  20
35.98  18
47.84  18
30.46  18
78.32  12

Structural model:
Cell: 5.7647 5.7647 5.8698 Å, 90.00 90.00 120.00°
Space group P-3m1 (No. 164)
One atom of each set of equivalent atoms:
Nd1 0.3333 0.6667 0.3266 (multiplicity 2)
Cu1 0.0000 0.0000 0.5000 (multiplicity 1)
Pd1 0.1730 0.3461 0.8136 (multiplicity 6)

Entry 11:
For Sm6In2Sn, a DFT-relaxed cell (PBE, Alexandria) gives the computed X-ray powder pattern in this record (Cu Kα (weighted mean of Kα1 and Kα2)).
Lines closer than 0.1° are merged.

Main lines, in order of falling intensity (15 to 90 degrees two-theta):
2theta  Rel. int.
33.98  100
60.77  25
20.62  19
23.82  16
60.92  12
48.75  12
81.49  11
23.92  8

Structural model:
Cell: 5.285 7.439 15.846 Å, 90.00 90.00 90.00°
Space group Immm (No. 71)
One atom of each set of equivalent atoms:
Sm1 0.000 0.249 0.000 (multiplicity 4)
Sm2 0.000 0.251 0.332 (multiplicity 8)
In1 0.000 0.000 0.166 (multiplicity 4)
Sn1 0.000 0.000 0.500 (multiplicity 2)

Entry 12:
For HgTeO3F, a DFT-relaxed cell (PBE, Alexandria) gives the computed X-ray powder pattern in this record (Cu Kα (weighted mean of Kα1 and Kα2)).
Lines closer than 0.1° are merged.

Main lines, in order of falling intensity (15 to 90 degrees two-theta):
2theta  Rel. int.
25.89  100
23.36  48
27.49  43
27.93  40
36.26  32
20.69  31
32.58  22
41.55  21

Structural model:
Cell: 8.279 8.578 6.196 Å, 90.00 90.00 90.00°
Space group Pca2_1 (No. 29)
One atom of each set of equivalent atoms:
Hg1 0.132 0.100 0.000 (multiplicity 4)
Te1 0.116 0.711 0.852 (multiplicity 4)
O1 0.089 0.287 0.194 (multiplicity 4)
O2 0.192 0.918 0.797 (multiplicity 4)
O3 0.242 0.632 0.597 (multiplicity 4)
F1 0.021 0.201 0.596 (multiplicity 4)

Entry 13:
For LaNb3Tl4O12, a DFT-relaxed cell (PBE, Alexandria) gives the computed X-ray powder pattern in this record (Cu Kα (weighted mean of Kα1 and Kα2)).
Lines closer than 0.1° are merged.

Main lines, in order of falling intensity (15 to 90 degrees two-theta):
2theta  Rel. int.
29.81  100
52.91  41
42.66  28
85.77  22
70.22  18
61.92  18
36.72  9
20.96  7

Structural model:
Cell: 8.478 8.478 8.478 Å, 90.00 90.00 90.00°
Space group Im-3m (No. 229)
One atom of each set of equivalent atoms:
La1 0.000 0.000 0.000 (multiplicity 2)
Nb1 0.000 0.000 0.500 (multiplicity 6)
Tl1 0.250 0.250 0.250 (multiplicity 8)
O1 0.000 0.000 0.273 (multiplicity 12)
O2 0.000 0.250 0.500 (multiplicity 12)